1.
# Sm3ErRh
Theoretical PXRD pattern, Cu Kα (λ = 1.5418 Å). Input: a DFT-relaxed cell (GGA-PBE, Alexandria).
Peak positions follow from Bragg's law for the DFT cell and can differ from measured ones.

Crystal structure
a = 9.5937 Å, b = 7.3579 Å, c = 8.6942 Å
α = 90.00°, β = 90.00°, γ = 90.00°
Space group Ima2 (No. 46)
Symmetry-distinct sites (fractional):
Sm: 0.0382 0.2495 0.0000 (multiplicity 8)
Sm: 0.2500 0.5112 0.2492 (multiplicity 4)
Er: 0.2500 0.5210 0.7508 (multiplicity 4)
Rh: 0.2500 0.7483 0.5000 (multiplicity 4)

The 8 most intense peaks (10 to 90 degrees two-theta), sorted by position:
(hkl)  two_theta  d (Å)  I_rel
2 0 2  27.7  3.221  63
3 1 0  30.5  2.933  25
2 2 0  30.6  2.919  48
0 2 2  31.9  2.808  100
4 0 0  37.5  2.398  22
0 0 4  41.5  2.174  25
4 2 2  50.0  1.824  38
2 2 4  52.5  1.744  32



2.
# Er3Sn2Rh
Theoretical PXRD pattern, Cu Kα (λ = 1.5418 Å). Input: a DFT-relaxed cell (GGA-PBE, Alexandria).
Peak positions follow from Bragg's law for the DFT cell and can differ from measured ones.

Crystal structure
a = 12.2598 Å, b = 4.3499 Å, c = 11.4993 Å
α = 90.00°, β = 90.00°, γ = 90.00°
Space group Pnma (No. 62)
Symmetry-distinct sites (fractional):
Er: 0.0523 0.2500 0.1298 (multiplicity 4)
Er: 0.1219 0.7500 0.5455 (multiplicity 4)
Er: 0.2429 0.2500 0.7882 (multiplicity 4)
Sn: 0.0053 0.2500 0.6918 (multiplicity 4)
Sn: 0.1862 0.7500 0.9992 (multiplicity 4)
Rh: 0.1264 0.2500 0.3685 (multiplicity 4)

The 8 most intense peaks (10 to 90 degrees two-theta), sorted by position:
(hkl)  two_theta  d (Å)  I_rel
2 1 2  29.6  3.019  54
0 1 3  31.1  2.877  100
4 0 2  33.1  2.705  41
3 1 2  33.9  2.645  57
4 1 1  36.7  2.448  60
1 1 4  38.3  2.353  37
2 1 4  40.4  2.233  43
0 2 0  41.5  2.175  58



3.
# Er5Sn18Rh6
Theoretical PXRD pattern, Cu Kα (λ = 1.5418 Å). Input: a DFT-relaxed cell (GGA-PBE, Alexandria).
Peak positions follow from Bragg's law for the DFT cell and can differ from measured ones.

Crystal structure
a = 13.9603 Å, b = 13.9603 Å, c = 13.9603 Å
α = 90.00°, β = 90.00°, γ = 90.00°
Space group F-43m (No. 216)
Symmetry-distinct sites (fractional):
Er: 0.0000 0.0000 0.0000 (multiplicity 4)
Er: 0.1301 0.1301 0.6301 (multiplicity 16)
Sn: 0.0101 0.1749 0.1749 (multiplicity 48)
Sn: 0.0866 0.0866 0.4134 (multiplicity 16)
Sn: 0.2500 0.2500 0.2500 (multiplicity 4)
Sn: 0.2500 0.2500 0.7500 (multiplicity 4)
Rh: 0.0000 0.0000 0.2556 (multiplicity 24)

The 8 most intense peaks (10 to 90 degrees two-theta), sorted by position:
(hkl)  two_theta  d (Å)  I_rel
4 2 2  31.4  2.850  18
3 3 3  33.4  2.687  100
4 4 0  36.4  2.468  40
5 3 1  38.1  2.360  17
6 0 0  38.7  2.327  17
6 2 2  43.0  2.105  32
6 6 0  55.9  1.645  30
8 4 4  65.5  1.425  21



4.
# ErSnRh3
Theoretical PXRD pattern, Cu Kα (λ = 1.5418 Å). Input: a DFT-relaxed cell (GGA-PBE, Alexandria).
Peak positions follow from Bragg's law for the DFT cell and can differ from measured ones.

Crystal structure
a = 5.5588 Å, b = 7.5481 Å, c = 8.9193 Å
α = 90.00°, β = 90.00°, γ = 90.00°
Space group Imma (No. 74)
Symmetry-distinct sites (fractional):
Er: 0.0000 0.2500 0.0160 (multiplicity 4)
Sn: 0.0000 0.0000 0.5000 (multiplicity 4)
Rh: 0.0000 0.2500 0.7108 (multiplicity 4)
Rh: 0.2500 0.0561 0.2500 (multiplicity 8)

The 8 most intense peaks (10 to 90 degrees two-theta), sorted by position:
(hkl)  two_theta  d (Å)  I_rel
1 2 1  30.3  2.947  100
2 1 1  35.9  2.503  24
0 3 1  37.1  2.422  31
2 0 2  38.2  2.359  65
2 2 0  40.3  2.238  33
0 0 4  40.5  2.230  50
1 2 3  42.0  2.153  76
4 0 4  81.6  1.180  25



5.
# Er6SnRh2
Theoretical PXRD pattern, Cu Kα (λ = 1.5418 Å). Input: a DFT-relaxed cell (GGA-PBE, Alexandria).
Peak positions follow from Bragg's law for the DFT cell and can differ from measured ones.

Crystal structure
a = 9.3167 Å, b = 9.5536 Å, c = 10.2937 Å
α = 90.00°, β = 90.00°, γ = 90.00°
Space group Immm (No. 71)
Symmetry-distinct sites (fractional):
Er: 0.0000 0.2043 0.2374 (multiplicity 8)
Er: 0.1927 0.5000 0.1699 (multiplicity 8)
Er: 0.2112 0.3188 0.5000 (multiplicity 8)
Sn: 0.0000 0.0000 0.0000 (multiplicity 2)
Sn: 0.0000 0.0000 0.5000 (multiplicity 2)
Rh: 0.0000 0.3352 0.0000 (multiplicity 4)
Rh: 0.0000 0.5000 0.3663 (multiplicity 4)

The 8 most intense peaks (10 to 90 degrees two-theta), sorted by position:
(hkl)  two_theta  d (Å)  I_rel
2 2 2  32.0  2.799  100
2 1 3  33.8  2.654  57
1 3 2  34.5  2.600  75
2 3 1  35.2  2.547  56
3 2 1  35.6  2.524  32
4 0 0  38.7  2.329  28
0 2 4  39.8  2.266  27
5 3 2  60.3  1.535  35



6.
# TbEr3Rh3
Theoretical PXRD pattern, Cu Kα (λ = 1.5418 Å). Input: a DFT-relaxed cell (GGA-PBE, Alexandria).
Peak positions follow from Bragg's law for the DFT cell and can differ from measured ones.

Crystal structure
a = 9.6505 Å, b = 9.8246 Å, c = 6.6620 Å
α = 90.00°, β = 90.00°, γ = 90.00°
Space group Cmmm (No. 65)
Symmetry-distinct sites (fractional):
Tb: 0.2437 0.0000 0.0000 (multiplicity 4)
Er: 0.0000 0.2541 0.5000 (multiplicity 4)
Er: 0.0000 0.2639 0.0000 (multiplicity 4)
Er: 0.2446 0.5000 0.5000 (multiplicity 4)
Rh: 0.0000 0.5000 0.2521 (multiplicity 4)
Rh: 0.2500 0.2500 0.2515 (multiplicity 8)

The 8 most intense peaks (10 to 90 degrees two-theta), sorted by position:
(hkl)  two_theta  d (Å)  I_rel
1 1 0  12.9  6.885  11
2 2 0  25.9  3.442  15
0 4 0  36.6  2.456  27
4 0 0  37.3  2.413  26
2 2 2  37.6  2.394  100
4 4 0  53.2  1.721  18
2 6 2  66.5  1.406  18
6 2 2  67.4  1.389  18